Rb2CdOsCl6: theoretical X-ray diffraction stick pattern (Cu Kα, 1.54184 Å), based on a GGA-PBE-relaxed structure.

Principal peaks in the range 2θ from 10° to 80°, in order of falling intensity:
hkl, Position (°2θ), I/Imax
2 0 0, 24.5, 100
2 2 0, 34.8, 39
1 1 0, 17.2, 30
3 1 2, 43.0, 30
2 2 4, 50.2, 26
0 0 4, 35.0, 19
4 2 4, 68.2, 16
2 0 4, 43.2, 15
4 2 0, 56.5, 14
4 0 0, 50.1, 13
4 0 4, 62.6, 13
1 0 1, 14.9, 11

Structure:
```
data_Rb2CdOsCl6
_chemical_formula_sum 'Rb4 Cd2 Os2 Cl12'
_space_group_name_H-M_alt 'I 4/m m m'
_space_group_IT_number 139
_space_group_name_Hall '-I 4 2'
_cell_length_a 7.2844
_cell_length_b 7.2844
_cell_length_c 10.2527
_cell_angle_alpha 90.00
_cell_angle_beta 90.00
_cell_angle_gamma 90.00
loop_
_atom_site_label
_atom_site_type_symbol
_atom_site_fract_x
_atom_site_fract_y
_atom_site_fract_z
Rb1 Rb 0.0000 0.5000 0.2500
Cd1 Cd 0.0000 0.0000 0.0000
Os1 Os 0.0000 0.0000 0.5000
Cl1 Cl 0.0000 0.0000 0.2641
Cl2 Cl 0.2344 0.2344 0.5000
```